No. 1
# GaPSe
Theoretical XRD peak list, λ = 1.5418 Å (Cu Kα). Input: a crystal structure in Alexandria, relaxed with GGA-PBE.

Cell and atoms:
Lattice parameters (Å, degrees): 3.503 15.322 5.149 90.00 90.00 90.00
Space group Cmc2_1 (No. 36)
Inequivalent atoms, fractional coordinates:
Ga 0.000 0.189 0.000 x4
P 0.000 0.335 0.174 x4
Se 0.000 0.091 0.374 x4

Peak list (10 most intense, 2θ = 5–70°, most intense first)
2theta, I_rel
29.06, 100
35.64, 79
31.44, 58
26.10, 53
11.55, 36
52.40, 36
44.05, 31
47.30, 28
23.22, 26
53.33, 24


No. 2
# Ac2TlReO8
Theoretical XRD peak list, λ = 1.5418 Å (Cu Kα). Input: a crystal structure in Alexandria, relaxed with GGA-PBE.

Cell and atoms:
Lattice parameters (Å, degrees): 4.844 5.193 7.773 92.14 93.45 94.88
Space group P-1 (No. 2)
Inequivalent atoms, fractional coordinates:
Ac 0.094 0.019 0.268 x2
Tl 0.500 0.500 0.000 x1
Re 0.500 0.500 0.500 x1
O 0.193 0.272 0.546 x2
O 0.218 0.192 0.979 x2
O 0.302 0.594 0.290 x2
O 0.369 0.770 0.637 x2

Peak list (10 most intense, 2θ = 5–70°, most intense first)
2theta, I_rel
24.13, 100
28.18, 68
26.37, 61
28.63, 56
29.39, 53
30.51, 39
34.71, 36
45.06, 24
47.44, 18
46.88, 17